Record 1
Structure and simulated X-ray diffraction stick pattern of CaBiF5 (a DFT-relaxed cell (PBE, the Materials Project); Cu Kα).
Peak positions follow from Bragg's law for the DFT cell and can differ from measured ones.

```
data_CaBiF5
_symmetry_space_group_name_H-M 'C 1 2/c 1'
_symmetry_Int_Tables_number 15
_cell_length_a 9.851
_cell_length_b 7.159
_cell_length_c 8.461
_cell_angle_alpha 90.00
_cell_angle_beta 115.45
_cell_angle_gamma 90.00
loop_
_symmetry_equiv_pos_as_xyz
'x,y,z'
'-x,-y,-z'
'-x,y,-z+1/2'
'x,-y,z+1/2'
'x+1/2,y+1/2,z'
'-x+1/2,-y+1/2,-z'
'-x+1/2,y+1/2,-z+1/2'
'x+1/2,-y+1/2,z+1/2'
loop_
_atom_site_label
_atom_site_type_symbol
_atom_site_fract_x
_atom_site_fract_y
_atom_site_fract_z
Ca1 Ca 0.000 0.028 0.250
Bi1 Bi 0.000 0.500 0.000
F1 F 0.000 0.366 0.250
F2 F 0.009 0.186 0.956
F3 F 0.250 0.022 0.365
```

Largest 10 diffraction maxima, low angle first, 5 to 70 degrees two-theta:
15.9 deg, intensity 97
20.0 deg, intensity 86
23.3 deg, intensity 50
24.4 deg, intensity 100
24.9 deg, intensity 45
31.8 deg, intensity 50
34.3 deg, intensity 26
43.5 deg, intensity 33
47.9 deg, intensity 33
48.3 deg, intensity 30

=====

Record 2
Structure and simulated X-ray diffraction stick pattern of Mn2Sb2PtAu (a DFT-relaxed cell (PBE, the Materials Project); Cu Kα).
Peak positions follow from Bragg's law for the DFT cell and can differ from measured ones.

```
data_Mn2Sb2PtAu
_symmetry_space_group_name_H-M 'R 3 m'
_symmetry_Int_Tables_number 160
_symmetry_space_group_name_Hall 'R 3 -2"'
_cell_length_a 4.4852
_cell_length_b 4.4852
_cell_length_c 22.0388
_cell_angle_alpha 90.00
_cell_angle_beta 90.00
_cell_angle_gamma 120.00
loop_
_atom_site_label
_atom_site_type_symbol
_atom_site_fract_x
_atom_site_fract_y
_atom_site_fract_z
Mn1 Mn 0.0000 0.0000 0.0000
Mn2 Mn 0.0000 0.0000 0.4952
Sb1 Sb 0.0000 0.0000 0.2437
Sb2 Sb 0.0000 0.0000 0.7503
Pt1 Pt 0.0000 0.0000 0.1216
Au1 Au 0.0000 0.0000 0.6232
```

Largest 7 diffraction maxima, low angle first, 5 to 70 degrees two-theta:
24.3 deg, intensity 75
40.2 deg, intensity 100
47.5 deg, intensity 29
47.5 deg, intensity 10
58.1 deg, intensity 17
63.8 deg, intensity 8
64.0 deg, intensity 8

=====

Record 3
Structure and simulated X-ray diffraction stick pattern of Mg4B3Ir2 (a DFT-relaxed cell (PBE, the Materials Project); Cu Kα).
Peak positions follow from Bragg's law for the DFT cell and can differ from measured ones.

```
data_Mg4B3Ir2
_symmetry_space_group_name_H-M 'C 1 2 1'
_symmetry_Int_Tables_number 5
_cell_length_a 8.594
_cell_length_b 4.838
_cell_length_c 6.890
_cell_angle_alpha 90.00
_cell_angle_beta 114.85
_cell_angle_gamma 90.00
loop_
_symmetry_equiv_pos_as_xyz
'x,y,z'
'-x,y,-z'
'x+1/2,y+1/2,z'
'-x+1/2,y+1/2,-z'
loop_
_atom_site_label
_atom_site_type_symbol
_atom_site_fract_x
_atom_site_fract_y
_atom_site_fract_z
Mg1 Mg 0.194 0.000 0.343
Mg2 Mg 0.200 0.000 0.857
B1 B 0.000 0.166 0.500
B2 B 0.000 0.432 0.000
B3 B 0.000 0.817 0.500
Ir1 Ir 0.012 0.486 0.718
```

Largest 10 diffraction maxima, low angle first, 5 to 70 degrees two-theta:
21.6 deg, intensity 100
22.8 deg, intensity 38
28.1 deg, intensity 25
28.6 deg, intensity 27
31.9 deg, intensity 18
37.2 deg, intensity 25
39.2 deg, intensity 28
39.3 deg, intensity 38
39.9 deg, intensity 35
44.1 deg, intensity 16